Computed XRD peak list of Fe2CoO6 for Cu Kα (weighted mean of Kα1 and Kα2), from a GGA+U-relaxed structure.
Peak positions follow from Bragg's law for the DFT cell and can differ from measured ones.

Structure:
abc: 8.3846 8.3846 4.4141
angles: 90.00 90.00 120.00
Fractional positions:
Fe 0.0000 0.3115 0.0000
Fe 0.0000 0.6435 0.5000
Fe 0.3115 0.0000 0.0000
Fe 0.3565 0.3565 0.5000
Fe 0.6435 0.0000 0.5000
Fe 0.6885 0.6885 0.0000
Co 0.0000 0.0000 0.5000
Co 0.3333 0.6667 0.0044
Co 0.6667 0.3333 0.9956
O 0.0960 0.8827 0.2735
O 0.1173 0.2133 0.2735
O 0.1183 0.5422 0.2350
O 0.2133 0.1173 0.7265
O 0.2238 0.7734 0.7716
O 0.2266 0.4504 0.7716
O 0.4239 0.8817 0.2350
O 0.4504 0.2266 0.2284
O 0.4578 0.5761 0.2350
O 0.5422 0.1183 0.7650
O 0.5496 0.7762 0.7716
O 0.5761 0.4578 0.7650
O 0.7734 0.2238 0.2284
O 0.7762 0.5496 0.2284
O 0.7867 0.9040 0.2735
O 0.8817 0.4239 0.7650
O 0.8827 0.0960 0.7265
O 0.9040 0.7867 0.7265

Principal peaks in the range 10 to 80 degrees two-theta, sorted by position:
- 2θ = 23.59°, d = 3.772 Å, rel. 23
- 2θ = 29.38°, d = 3.040 Å, rel. 100
- 2θ = 31.92°, d = 2.804 Å, rel. 27
- 2θ = 37.15°, d = 2.420 Å, rel. 38
- 2θ = 38.63°, d = 2.331 Å, rel. 16
- 2θ = 42.60°, d = 2.122 Å, rel. 22
- 2θ = 48.05°, d = 1.893 Å, rel. 20
- 2θ = 56.42°, d = 1.631 Å, rel. 61
- 2θ = 62.25°, d = 1.491 Å, rel. 16
- 2θ = 66.96°, d = 1.397 Å, rel. 21



Computed XRD peak list of Li3MnP2O8 for Cu Kα (weighted mean of Kα1 and Kα2), from a GGA+U-relaxed structure.
Peak positions follow from Bragg's law for the DFT cell and can differ from measured ones.

Structure:
abc: 8.0147 10.4922 8.4744
angles: 90.00 107.68 90.00
Fractional positions:
Li 0.0330 0.0000 0.0159
Li 0.1147 0.0901 0.3531
Li 0.1230 0.2577 0.8601
Li 0.1486 0.5703 0.4195
Li 0.1504 0.7763 0.9058
Li 0.3097 0.2729 0.5938
Li 0.6903 0.7729 0.4062
Li 0.8496 0.2763 0.0942
Li 0.8514 0.0703 0.5805
Li 0.8770 0.7577 0.1399
Li 0.8853 0.5901 0.6469
Li 0.9670 0.5000 0.9841
Mn 0.3804 0.7740 0.6178
Mn 0.3870 0.5806 0.1183
Mn 0.6130 0.0806 0.8817
Mn 0.6196 0.2740 0.3822
P 0.2100 0.0192 0.7245
P 0.2255 0.3381 0.2252
P 0.2858 0.8370 0.2979
P 0.2945 0.5099 0.8042
P 0.7055 0.0099 0.1958
P 0.7142 0.3370 0.7021
P 0.7745 0.8381 0.7748
P 0.7900 0.5192 0.2755
O 0.0782 0.3223 0.0571
O 0.0808 0.0439 0.5528
O 0.1389 0.0740 0.8590
O 0.1739 0.2678 0.3615
O 0.1764 0.5780 0.9036
O 0.1853 0.7611 0.4032
O 0.2005 0.9638 0.2362
O 0.2277 0.3777 0.7449
O 0.2524 0.4846 0.2604
O 0.2515 0.8742 0.7551
O 0.2994 0.7564 0.1497
O 0.3007 0.5953 0.6581
O 0.3848 0.0927 0.7212
O 0.4023 0.2840 0.2064
O 0.4690 0.8459 0.4371
O 0.4727 0.5092 0.9470
O 0.5273 0.0092 0.0530
O 0.5310 0.3459 0.5629
O 0.5977 0.7840 0.7936
O 0.6152 0.5927 0.2788
O 0.6993 0.0953 0.3419
O 0.7006 0.2564 0.8503
O 0.7485 0.3742 0.2449
O 0.7476 0.9846 0.7396
O 0.7723 0.8777 0.2551
O 0.7995 0.4638 0.7638
O 0.8147 0.2611 0.5968
O 0.8236 0.0780 0.0964
O 0.8261 0.7678 0.6385
O 0.8611 0.5740 0.1410
O 0.9192 0.5439 0.4472
O 0.9218 0.8223 0.9429

Principal peaks in the range 10 to 80 degrees two-theta, sorted by position:
- 2θ = 11.59°, d = 7.636 Å, rel. 26
- 2θ = 14.35°, d = 6.174 Å, rel. 29
- 2θ = 20.17°, d = 4.402 Å, rel. 41
- 2θ = 21.58°, d = 4.118 Å, rel. 100
- 2θ = 22.02°, d = 4.037 Å, rel. 27
- 2θ = 23.30°, d = 3.818 Å, rel. 33
- 2θ = 24.82°, d = 3.588 Å, rel. 38
- 2θ = 31.88°, d = 2.807 Å, rel. 44
- 2θ = 34.20°, d = 2.622 Å, rel. 39
- 2θ = 36.99°, d = 2.430 Å, rel. 40



Computed XRD peak list of FeOF for Cu Kα (weighted mean of Kα1 and Kα2), from a GGA+U-relaxed structure.
Peak positions follow from Bragg's law for the DFT cell and can differ from measured ones.

Structure:
abc: 4.7632 4.7662 9.2310
angles: 90.00 90.05 90.00
Fractional positions:
Fe 0.2026 0.0000 0.0842
Fe 0.2210 0.0200 0.7493
Fe 0.2872 0.9557 0.4166
Fe 0.7128 0.4557 0.5834
Fe 0.7790 0.5200 0.2507
Fe 0.7974 0.5000 0.9158
O 0.0552 0.8163 0.9134
O 0.0682 0.8052 0.2539
O 0.4294 0.1670 0.5827
O 0.5706 0.6670 0.4173
O 0.9318 0.3052 0.7461
O 0.9448 0.3163 0.0866
F 0.0499 0.7829 0.5830
F 0.4428 0.2050 0.9186
F 0.4568 0.1885 0.2487
F 0.5432 0.6885 0.7513
F 0.5572 0.7050 0.0814
F 0.9501 0.2829 0.4170

Principal peaks in the range 10 to 80 degrees two-theta, sorted by position:
- 2θ = 26.45°, d = 3.369 Å, rel. 100
- 2θ = 34.70°, d = 2.585 Å, rel. 52
- 2θ = 37.76°, d = 2.382 Å, rel. 7
- 2θ = 39.67°, d = 2.272 Å, rel. 19
- 2θ = 43.59°, d = 2.076 Å, rel. 9
- 2θ = 52.22°, d = 1.752 Å, rel. 55
- 2θ = 54.47°, d = 1.685 Å, rel. 15
- 2θ = 60.14°, d = 1.539 Å, rel. 9
- 2θ = 66.22°, d = 1.411 Å, rel. 18
- 2θ = 66.85°, d = 1.399 Å, rel. 12



Computed XRD peak list of V9O13 for Cu Kα (weighted mean of Kα1 and Kα2), from a GGA+U-relaxed structure.
Peak positions follow from Bragg's law for the DFT cell and can differ from measured ones.

Structure:
abc: 5.3641 5.3641 17.7192
angles: 97.96 97.96 31.82
Fractional positions:
V 0.0000 0.0000 0.0000
V 0.1429 0.1429 0.5424
V 0.2416 0.2416 0.9181
V 0.4300 0.4300 0.6247
V 0.4715 0.4715 0.8230
V 0.5285 0.5285 0.1770
V 0.5700 0.5700 0.3753
V 0.7584 0.7584 0.0819
V 0.8571 0.8571 0.4576
O 0.0497 0.0497 0.6352
O 0.0936 0.0936 0.8283
O 0.1202 0.1202 0.1131
O 0.2096 0.2096 0.4300
O 0.3683 0.3683 0.0277
O 0.3952 0.3952 0.7320
O 0.5000 0.5000 0.5000
O 0.6048 0.6048 0.2680
O 0.6317 0.6317 0.9723
O 0.7904 0.7904 0.5700
O 0.8798 0.8798 0.8869
O 0.9064 0.9064 0.1717
O 0.9503 0.9503 0.3648

Principal peaks in the range 10 to 80 degrees two-theta, sorted by position:
- 2θ = 10.09°, d = 8.767 Å, rel. 100
- 2θ = 17.37°, d = 5.105 Å, rel. 23
- 2θ = 18.81°, d = 4.719 Å, rel. 24
- 2θ = 32.98°, d = 2.716 Å, rel. 43
- 2θ = 33.05°, d = 2.710 Å, rel. 34
- 2θ = 34.77°, d = 2.580 Å, rel. 20
- 2θ = 41.38°, d = 2.182 Å, rel. 19
- 2θ = 42.07°, d = 2.148 Å, rel. 21
- 2θ = 42.45°, d = 2.130 Å, rel. 14
- 2θ = 43.86°, d = 2.064 Å, rel. 21



Computed XRD peak list of CdFeO3 for Cu Kα (weighted mean of Kα1 and Kα2), from a GGA+U-relaxed structure.
Peak positions follow from Bragg's law for the DFT cell and can differ from measured ones.

Structure:
abc: 5.3630 7.6697 5.4502
angles: 90.00 90.05 90.00
Fractional positions:
Cd 0.0094 0.2500 0.0424
Cd 0.4907 0.2500 0.5423
Cd 0.5093 0.7500 0.4577
Cd 0.9906 0.7500 0.9576
Fe 0.0000 0.0000 0.5000
Fe 0.0000 0.5000 0.5000
Fe 0.5000 0.0000 0.0000
Fe 0.5000 0.5000 0.0000
O 0.0908 0.7500 0.5312
O 0.2027 0.0482 0.7955
O 0.2027 0.4518 0.7955
O 0.2998 0.0482 0.2930
O 0.2998 0.4518 0.2930
O 0.4080 0.7500 0.0315
O 0.5920 0.2500 0.9685
O 0.7002 0.5482 0.7070
O 0.7002 0.9518 0.7070
O 0.7973 0.5482 0.2045
O 0.7973 0.9518 0.2045
O 0.9092 0.2500 0.4688

Principal peaks in the range 10 to 80 degrees two-theta, sorted by position:
- 2θ = 23.24°, d = 3.827 Å, rel. 13
- 2θ = 32.87°, d = 2.725 Å, rel. 23
- 2θ = 33.09°, d = 2.707 Å, rel. 100
- 2θ = 33.42°, d = 2.682 Å, rel. 24
- 2θ = 47.41°, d = 1.917 Å, rel. 15
- 2θ = 47.57°, d = 1.911 Å, rel. 25
- 2θ = 58.85°, d = 1.569 Å, rel. 23
- 2θ = 59.24°, d = 1.560 Å, rel. 11
- 2θ = 59.52°, d = 1.553 Å, rel. 22
- 2θ = 69.43°, d = 1.354 Å, rel. 13



Computed XRD peak list of MnCr2Ni3P6O24 for Cu Kα (weighted mean of Kα1 and Kα2), from a GGA+U-relaxed structure.
Peak positions follow from Bragg's law for the DFT cell and can differ from measured ones.

Structure:
abc: 8.3581 8.3581 8.3581
angles: 61.87 61.87 61.87
Fractional positions:
Mn 0.0000 0.0000 0.0000
Cr 0.3571 0.3571 0.3571
Cr 0.8558 0.8558 0.8558
Ni 0.2156 0.2156 0.2156
Ni 0.4993 0.4993 0.4993
Ni 0.7144 0.7144 0.7144
P 0.1087 0.4013 0.8114
P 0.3110 0.9068 0.6071
P 0.4013 0.8114 0.1087
P 0.6071 0.3110 0.9068
P 0.8114 0.1087 0.4013
P 0.9068 0.6071 0.3110
O 0.0363 0.2410 0.8553
O 0.1041 0.9192 0.7694
O 0.1124 0.4595 0.2892
O 0.1870 0.3635 0.9606
O 0.2410 0.8553 0.0363
O 0.2556 0.4184 0.6056
O 0.2892 0.1124 0.4595
O 0.3420 0.7534 0.5386
O 0.3635 0.9606 0.1870
O 0.4184 0.6056 0.2556
O 0.4595 0.2892 0.1124
O 0.4645 0.8700 0.6794
O 0.5386 0.3420 0.7534
O 0.6025 0.8039 0.9500
O 0.6056 0.2556 0.4184
O 0.6794 0.4645 0.8700
O 0.7534 0.5386 0.3420
O 0.7694 0.1041 0.9192
O 0.8039 0.9500 0.6025
O 0.8553 0.0363 0.2410
O 0.8700 0.6794 0.4645
O 0.9192 0.7694 0.1041
O 0.9500 0.6025 0.8039
O 0.9606 0.1870 0.3635

Principal peaks in the range 10 to 80 degrees two-theta, sorted by position:
- 2θ = 20.67°, d = 4.297 Å, rel. 92
- 2θ = 21.28°, d = 4.176 Å, rel. 17
- 2θ = 24.59°, d = 3.621 Å, rel. 100
- 2θ = 33.85°, d = 2.648 Å, rel. 65
- 2θ = 36.21°, d = 2.481 Å, rel. 45
- 2θ = 48.48°, d = 1.878 Å, rel. 34
- 2θ = 50.40°, d = 1.810 Å, rel. 25
- 2θ = 56.68°, d = 1.624 Å, rel. 26
- 2θ = 57.71°, d = 1.597 Å, rel. 17
- 2θ = 63.63°, d = 1.462 Å, rel. 21